Entry 1:
Structure and theoretical XRD peak list of K2NdMnO4 (DFT lattice parameters and positions (PBE+U); Cu Kα, 1.54184 Å).
Peak positions follow from Bragg's law for the DFT cell and can differ from measured ones.

Top 8 peaks for 10 to 80 degrees two-theta, by angle:
- 14.93°, I = 100, hkl 1 1 0
- 30.13°, I = 83, hkl 2 2 0
- 30.42°, I = 31, hkl 3 1 -2
- 30.93°, I = 68, hkl 2 2 -2
- 31.37°, I = 72, hkl 0 0 2
- 36.85°, I = 50, hkl 4 0 -2
- 37.69°, I = 43, hkl 0 4 0
- 49.81°, I = 39, hkl 0 4 2

Structural model:
abc: 9.765 9.548 7.357
angles: 90.00 129.17 90.00
Space group C2/c (No. 15)
Inequivalent atoms, fractional coordinates:
K 0.000 0.000 0.000 x4
K 0.250 0.250 0.000 x4
Nd 0.000 0.500 0.000 x4
Mn 0.250 0.250 0.500 x4
O 0.076 0.261 0.549 x8
O 0.206 0.458 0.428 x8

---

Entry 2:
Structure and theoretical XRD peak list of KSrNdMnO6 (DFT lattice parameters and positions (PBE+U); Cu Kα, 1.54184 Å).
Peak positions follow from Bragg's law for the DFT cell and can differ from measured ones.

Top 8 peaks for 10 to 80 degrees two-theta, by angle:
- 18.22°, I = 17, hkl 1 1 1
- 21.06°, I = 16, hkl 2 0 0
- 29.96°, I = 100, hkl 2 2 0
- 35.29°, I = 16, hkl 3 1 1
- 42.88°, I = 36, hkl 4 0 0
- 53.19°, I = 38, hkl 4 2 2
- 62.26°, I = 21, hkl 4 4 0
- 70.62°, I = 18, hkl 6 2 0

Structural model:
abc: 8.436 8.436 8.436
angles: 90.00 90.00 90.00
Space group F-43m (No. 216)
Inequivalent atoms, fractional coordinates:
K 0.000 0.000 0.000 x4
Sr 0.000 0.000 0.500 x4
Nd 0.250 0.250 0.250 x4
Mn 0.250 0.250 0.750 x4
O 0.024 0.250 0.750 x24

---

Entry 3:
Structure and theoretical XRD peak list of KNdMnWO6 (DFT lattice parameters and positions (PBE+U); Cu Kα, 1.54184 Å).
Peak positions follow from Bragg's law for the DFT cell and can differ from measured ones.

Top 8 peaks for 10 to 80 degrees two-theta, by angle:
- 10.72°, I = 35, hkl 0 0 1
- 18.80°, I = 28, hkl 0 1 1
- 30.89°, I = 69, hkl 1 1 -2
- 31.08°, I = 100, hkl 1 1 2
- 31.59°, I = 33, hkl 2 0 0
- 43.86°, I = 20, hkl 0 0 4
- 44.91°, I = 35, hkl 2 2 0
- 54.76°, I = 23, hkl 2 0 -4

Structural model:
abc: 5.664 5.755 8.256
angles: 90.00 90.48 90.00
Space group P2_1 (No. 4)
Inequivalent atoms, fractional coordinates:
K 0.245 0.000 0.002 x2
Nd 0.255 0.931 0.501 x2
Mn 0.253 0.476 0.756 x2
W 0.239 0.484 0.251 x2
O 0.037 0.794 0.755 x2
O 0.060 0.769 0.242 x2
O 0.165 0.511 0.496 x2
O 0.292 0.475 0.027 x2
O 0.448 0.218 0.312 x2
O 0.483 0.186 0.688 x2